Simulated X-ray powder pattern
Compound: Dy2Sc3Ga4
Radiation: copper Kα
Structure: a crystal structure in Alexandria, relaxed with PBE

Atomic structure:
```
Dy2Sc3Ga4
1.0
3.218 -7.641 0.000
3.218 7.641 0.000
0.000 0.000 8.186
Dy Sc Ga
4 6 8
Direct
0.110 0.890 0.917
0.390 0.610 0.417
0.610 0.390 0.583
0.890 0.110 0.083
0.000 0.000 0.500
0.037 0.463 0.750
0.463 0.037 0.250
0.500 0.500 0.000
0.537 0.963 0.750
0.963 0.537 0.250
0.186 0.814 0.544
0.216 0.284 0.750
0.284 0.216 0.250
0.314 0.686 0.044
0.686 0.314 0.956
0.716 0.784 0.750
0.784 0.716 0.250
0.814 0.186 0.456
```

Principal peaks in the range 10° ≤ 2θ ≤ 80°, by angle:
2theta	Rel. int.
18.47	296
31.29	484
32.09	728
34.28	1000
34.91	608
35.49	771
36.51	370
36.96	244
53.37	278
57.25	273